[1]
Starting from a cell relaxed with PBE, the powder diffractogram of Rb2CdBrCl3 was calculated for Cu Ka.
No peak broadening, texture or thermal motion is included.

Atomic structure:
Cell: 9.047 9.047 9.047 Å, 145.55 144.41 50.37°
Fractional coordinates of all 7 atoms:
Rb (0.142, 0.142, 0.000)
Rb (0.858, 0.858, 0.000)
Cd (0.500, 0.500, 0.000)
Br (0.000, 0.500, 0.500)
Cl (0.341, 0.341, 0.000)
Cl (0.500, 0.000, 0.500)
Cl (0.659, 0.659, 0.000)

Peak list (10 most intense, 2θ = 10–80°, sorted by position)
2θ/deg, Rel. int.
10.8, 100
23.1, 76
23.3, 72
31.9, 48
32.4, 62
32.8, 43
33.5, 56
40.2, 36
46.8, 36
47.2, 40



[2]
Starting from a cell relaxed with PBE, the powder diffractogram of Tm3ScGa3 was calculated for Cu Ka.
No peak broadening, texture or thermal motion is included.

Atomic structure:
Cell: 6.975 6.975 6.964 Å, 90.82 90.82 96.91°
Fractional coordinates of all 14 atoms:
Tm (0.191, 0.809, 0.000)
Tm (0.264, 0.736, 0.500)
Tm (0.350, 0.350, 0.145)
Tm (0.650, 0.650, 0.855)
Tm (0.736, 0.264, 0.500)
Tm (0.809, 0.191, 0.000)
Sc (0.268, 0.268, 0.625)
Sc (0.732, 0.732, 0.375)
Ga (0.004, 0.500, 0.757)
Ga (0.040, 0.040, 0.308)
Ga (0.500, 0.004, 0.757)
Ga (0.500, 0.996, 0.243)
Ga (0.960, 0.960, 0.692)
Ga (0.996, 0.500, 0.243)

Peak list (10 most intense, 2θ = 10–80°, sorted by position)
2θ/deg, Rel. int.
30.2, 40
30.4, 51
30.9, 20
32.5, 62
32.7, 21
34.4, 49
36.3, 100
42.8, 35
48.0, 23
55.7, 30



[3]
Starting from a cell relaxed with PBE, the powder diffractogram of Tb6Sb3Ir was calculated for Cu Ka.
No peak broadening, texture or thermal motion is included.

Atomic structure:
Cell: 9.225 9.225 7.451 Å, 90.00 90.00 104.63°
Fractional coordinates of all 20 atoms:
Tb (0.002, 0.998, 0.500)
Tb (0.098, 0.587, 0.077)
Tb (0.246, 0.754, 0.562)
Tb (0.288, 0.368, 0.595)
Tb (0.368, 0.288, 0.095)
Tb (0.413, 0.902, 0.077)
Tb (0.587, 0.098, 0.577)
Tb (0.632, 0.712, 0.595)
Tb (0.712, 0.632, 0.095)
Tb (0.754, 0.246, 0.062)
Tb (0.902, 0.413, 0.577)
Tb (0.998, 0.002, 0.000)
Sb (0.070, 0.290, 0.271)
Sb (0.290, 0.070, 0.771)
Sb (0.402, 0.598, 0.894)
Sb (0.598, 0.402, 0.394)
Sb (0.710, 0.930, 0.271)
Sb (0.930, 0.710, 0.771)
Ir (0.145, 0.855, 0.254)
Ir (0.855, 0.145, 0.754)

Peak list (10 most intense, 2θ = 10–80°, sorted by position)
2θ/deg, Rel. int.
23.2, 58
27.3, 29
31.3, 27
32.4, 93
34.4, 100
44.1, 45
48.4, 22
51.6, 21
60.7, 24
63.3, 21



[4]
Starting from a cell relaxed with PBE, the powder diffractogram of Ho4PdPb was calculated for Cu Ka.
No peak broadening, texture or thermal motion is included.

Atomic structure:
Cell: 8.183 8.183 5.907 Å, 102.26 102.26 113.92°
Fractional coordinates of all 12 atoms:
Ho (0.065, 0.708, 0.929)
Ho (0.210, 0.360, 0.662)
Ho (0.292, 0.935, 0.571)
Ho (0.360, 0.210, 0.162)
Ho (0.640, 0.790, 0.838)
Ho (0.708, 0.065, 0.429)
Ho (0.790, 0.640, 0.338)
Ho (0.935, 0.292, 0.071)
Pd (0.001, 0.999, 0.750)
Pd (0.999, 0.001, 0.250)
Pb (0.376, 0.624, 0.250)
Pb (0.624, 0.376, 0.750)

Peak list (10 most intense, 2θ = 10–80°, sorted by position)
2θ/deg, Rel. int.
30.1, 20
30.8, 29
31.0, 100
33.9, 29
34.5, 35
34.6, 70
36.2, 50
38.3, 22
54.5, 18
63.4, 19